Starting from the PBE+U geometry in the Materials Project, the X-ray diffraction stick pattern of Li4TiCo3O8 was computed for Cu Kα (λ = 1.5418 Å).
Lines closer than 0.1° are merged.

Main lines, low angle first (2θ = 10–90°):
(0 0 2), 2θ 18.25, intensity 100
(0 2 0), 2θ 35.42, intensity 16
(2 0 0), 2θ 35.62, intensity 14
(2 2 2), 2θ 35.94, intensity 13
(0 2 2), 2θ 37.24, intensity 9
(0 2 -2), 2θ 42.89, intensity 28
(2 0 -2), 2θ 43.17, intensity 27
(2 2 4), 2θ 43.63, intensity 26
(2 0 4), 2θ 47.33, intensity 10
(2 -2 0), 2θ 62.60, intensity 15

Atomic structure:
```
data_Li4TiCo3O8
_symmetry_space_group_name_H-M 'P -1'
_symmetry_Int_Tables_number 2
_symmetry_space_group_name_Hall '-P 1'
_cell_length_a 5.8728
_cell_length_b 5.8984
_cell_length_c 10.2613
_cell_angle_alpha 74.05
_cell_angle_beta 73.83
_cell_angle_gamma 60.60
loop_
_atom_site_label
_atom_site_fract_x
_atom_site_fract_y
_atom_site_fract_z
Li1 0.2480 0.2492 0.2486
Li2 0.2499 0.2529 0.7509
Li3 0.2502 0.7486 0.7483
Li4 0.2521 0.7492 0.2485
Ti1 0.0000 0.0000 0.5000
Ti2 0.5000 0.5000 0.0000
Co1 0.0000 0.0000 0.0000
Co2 0.0000 0.5000 0.0000
Co3 0.0000 0.5000 0.5000
Co4 0.5000 0.0000 0.0000
Co5 0.5000 0.0000 0.5000
Co6 0.5000 0.5000 0.5000
O1 0.1180 0.1282 0.6169
O2 0.1185 0.6443 0.6177
O3 0.1432 0.1104 0.1070
O4 0.1430 0.6236 0.1164
O5 0.3575 0.8746 0.3841
O6 0.3612 0.3894 0.3922
O7 0.3786 0.3856 0.8813
O8 0.3851 0.8667 0.8862
```

---

Starting from the PBE+U geometry in the Materials Project, the X-ray diffraction stick pattern of V2ZnO4 was computed for Cu Kα (λ = 1.5418 Å).
Lines closer than 0.1° are merged.

Main lines, low angle first (2θ = 10–90°):
(2 0 -3), 2θ 28.70, intensity 77
(4 0 -3), 2θ 29.22, intensity 58
(1 1 -1), 2θ 32.01, intensity 37
(4 0 0), 2θ 32.62, intensity 100
(3 1 -1), 2θ 36.19, intensity 34
(1 1 -2), 2θ 36.75, intensity 45
(3 1 -3), 2θ 41.79, intensity 63
(5 1 -1), 2θ 46.58, intensity 54
(5 1 -4), 2θ 49.97, intensity 48
(3 1 2), 2θ 55.21, intensity 34

Atomic structure:
```
data_V2ZnO4
_symmetry_space_group_name_H-M 'C 1 2/m 1'
_symmetry_Int_Tables_number 12
_symmetry_space_group_name_Hall '-C 2y'
_cell_length_a 14.3789
_cell_length_b 2.9220
_cell_length_c 9.6428
_cell_angle_alpha 90.00
_cell_angle_beta 130.20
_cell_angle_gamma 90.00
loop_
_atom_site_label
_atom_site_fract_x
_atom_site_fract_y
_atom_site_fract_z
V1 0.1405 0.0000 0.4670
V2 0.1522 0.5000 0.8167
Zn1 0.1162 0.0000 0.1168
O1 0.0329 0.0000 0.7224
O2 0.1445 0.5000 0.6012
O3 0.1695 0.5000 0.3498
O4 0.2084 0.5000 0.0668
```

---

Starting from the PBE+U geometry in the Materials Project, the X-ray diffraction stick pattern of Sr2La2TlNi2O9 was computed for Cu Kα (λ = 1.5418 Å).
Lines closer than 0.1° are merged.

Main lines, low angle first (2θ = 10–90°):
(3 1 1), 2θ 24.75, intensity 31
(7 1 1), 2θ 31.19, intensity 100
(0 0 2), 2θ 32.70, intensity 34
(0 2 0), 2θ 33.01, intensity 34
(14 0 0), 2θ 42.11, intensity 13
(10 2 0), 2θ 45.02, intensity 12
(0 2 2), 2θ 47.15, intensity 32
(7 1 3), 2θ 57.40, intensity 27
(7 3 1), 2θ 57.82, intensity 18
(14 2 2), 2θ 65.05, intensity 12

Atomic structure:
```
data_Sr2La2TlNi2O9
_symmetry_space_group_name_H-M 'A e m 2'
_symmetry_Int_Tables_number 39
_symmetry_space_group_name_Hall 'A 2 -2b'
_cell_length_a 30.0385
_cell_length_b 5.4272
_cell_length_c 5.4765
_cell_angle_alpha 90.00
_cell_angle_beta 90.00
_cell_angle_gamma 90.00
loop_
_atom_site_label
_atom_site_fract_x
_atom_site_fract_y
_atom_site_fract_z
Sr1 0.1667 0.2500 0.9999
Sr2 0.3335 0.2500 0.0000
La1 0.0479 0.2500 0.0035
La2 0.4522 0.2500 0.0035
Tl1 0.2500 0.2500 0.4664
Ni1 0.1051 0.2500 0.5032
Ni2 0.3953 0.2500 0.5033
O1 0.0312 0.2500 0.5039
O2 0.1029 0.0004 0.2530
O3 0.1799 0.2500 0.5132
O4 0.2500 0.2500 0.0398
O5 0.3201 0.2500 0.5132
O6 0.3973 0.0004 0.2530
O7 0.4689 0.2500 0.5038
```

---

Starting from the PBE+U geometry in the Materials Project, the X-ray diffraction stick pattern of Mn3OF5 was computed for Cu Kα (λ = 1.5418 Å).
Lines closer than 0.1° are merged.

Main lines, low angle first (2θ = 10–90°):
(1 0 -3), 2θ 24.94, intensity 100
(1 0 3), 2θ 26.07, intensity 91
(1 1 0), 2θ 33.20, intensity 94
(1 1 -3), 2θ 37.60, intensity 20
(2 1 -3), 2θ 49.44, intensity 67
(2 1 3), 2θ 50.70, intensity 54
(2 0 -6), 2θ 51.17, intensity 20
(0 2 0), 2θ 57.18, intensity 21
(3 1 0), 2θ 63.36, intensity 35
(0 1 9), 2θ 63.55, intensity 22

Atomic structure:
```
data_Mn3OF5
_symmetry_space_group_name_H-M 'P 1 2/m 1'
_symmetry_Int_Tables_number 10
_symmetry_space_group_name_Hall '-P 2y'
_cell_length_a 4.9510
_cell_length_b 3.2219
_cell_length_c 14.8054
_cell_angle_alpha 90.00
_cell_angle_beta 92.49
_cell_angle_gamma 90.00
loop_
_atom_site_label
_atom_site_fract_x
_atom_site_fract_y
_atom_site_fract_z
Mn1 0.0000 0.0000 0.0000
Mn2 0.0158 0.0000 0.6722
Mn3 0.4761 0.5000 0.8253
Mn4 0.5000 0.5000 0.5000
O1 0.3029 0.0000 0.7665
F1 0.1881 0.5000 0.2683
F2 0.1956 0.5000 0.5991
F3 0.2005 0.5000 0.9379
F4 0.2927 0.0000 0.4309
F5 0.3190 0.0000 0.1071
```

---

Starting from the PBE+U geometry in the Materials Project, the X-ray diffraction stick pattern of Li8Mn3VP6O24 was computed for Cu Kα (λ = 1.5418 Å).
Lines closer than 0.1° are merged.

Main lines, low angle first (2θ = 10–90°):
(1 0 0), 2θ 14.09, intensity 88
(-1 1 1), 2θ 14.36, intensity 29
(1 -1 1), 2θ 19.07, intensity 43
(0 1 1), 2θ 19.24, intensity 82
(1 1 -2), 2θ 23.68, intensity 100
(2 -1 0), 2θ 23.76, intensity 35
(-1 2 1), 2θ 23.95, intensity 35
(0 2 -2), 2θ 28.39, intensity 61
(2 -1 1), 2θ 30.66, intensity 54
(1 1 -3), 2θ 30.78, intensity 51

Atomic structure:
```
data_Li8Mn3VP6O24
_symmetry_space_group_name_H-M 'P 1'
_symmetry_Int_Tables_number 1
_symmetry_space_group_name_Hall 'P 1'
_cell_length_a 8.4182
_cell_length_b 8.4749
_cell_length_c 9.2826
_cell_angle_alpha 91.14
_cell_angle_beta 116.15
_cell_angle_gamma 119.36
loop_
_atom_site_label
_atom_site_fract_x
_atom_site_fract_y
_atom_site_fract_z
Li1 0.0000 0.0000 0.0000
Li2 0.0332 0.2584 0.5041
Li3 0.1667 0.7904 0.2284
Li4 0.2915 0.7171 0.9494
Li5 0.4363 0.3959 0.2436
Li6 0.5603 0.3213 0.9607
Li7 0.6931 0.8531 0.6865
Li8 0.7297 0.1121 0.1941
Mn1 0.0526 0.4065 0.1273
Mn2 0.0753 0.9061 0.6578
Mn3 0.6480 0.2043 0.5336
V1 0.6747 0.7052 0.0628
P1 0.1473 0.1038 0.3438
P2 0.1720 0.3126 0.8581
P3 0.5550 0.8017 0.3338
P4 0.5782 0.0047 0.8504
P5 0.8584 0.6069 0.8479
P6 0.8699 0.5076 0.3401
O1 0.0014 0.9039 0.2031
O2 0.0278 0.5510 0.2757
O3 0.0404 0.2167 0.2853
O4 0.0604 0.6215 0.9924
O5 0.1093 0.2693 0.9995
O6 0.1638 0.0855 0.5125
O7 0.2557 0.1887 0.8519
O8 0.3500 0.5270 0.9184
O9 0.3607 0.2014 0.3498
O10 0.3632 0.9088 0.8400
O11 0.3780 0.5852 0.2737
O12 0.4704 0.9237 0.3427
O13 0.5709 0.0229 0.6850
O14 0.6190 0.8451 0.1952
O15 0.6711 0.5016 0.1955
O16 0.6822 0.8884 0.9136
O17 0.7042 0.5616 0.9161
O18 0.7237 0.2046 0.9913
O19 0.7456 0.4537 0.6870
O20 0.7462 0.8490 0.5035
O21 0.7882 0.3074 0.3631
O22 0.9316 0.8069 0.8223
O23 0.9816 0.2647 0.6885
O24 0.9850 0.6621 0.5004
```

---

Starting from the PBE+U geometry in the Materials Project, the X-ray diffraction stick pattern of LuMnO3 was computed for Cu Kα (λ = 1.5418 Å).
Lines closer than 0.1° are merged.

Main lines, low angle first (2θ = 10–90°):
(0 0 2), 2θ 15.48, intensity 43
(1 1 0), 2θ 29.27, intensity 50
(1 1 1), 2θ 30.31, intensity 18
(0 0 4), 2θ 31.26, intensity 28
(1 1 2), 2θ 33.27, intensity 100
(1 1 4), 2θ 43.35, intensity 34
(3 0 0), 2θ 51.90, intensity 35
(1 1 6), 2θ 56.93, intensity 18
(3 0 4), 2θ 61.85, intensity 23
(2 2 2), 2θ 63.06, intensity 17

Atomic structure:
```
data_LuMnO3
_symmetry_space_group_name_H-M 'P 63 c m'
_symmetry_Int_Tables_number 185
_symmetry_space_group_name_Hall 'P 6c -2'
_cell_length_a 6.1028
_cell_length_b 6.1028
_cell_length_c 11.4453
_cell_angle_alpha 90.00
_cell_angle_beta 90.00
_cell_angle_gamma 120.00
loop_
_atom_site_label
_atom_site_fract_x
_atom_site_fract_y
_atom_site_fract_z
Lu1 0.0000 0.0000 0.0000
Lu2 0.3333 0.6667 0.4562
Mn1 0.0000 0.3333 0.2255
O1 0.0000 0.0000 0.1980
O2 0.0000 0.3059 0.3921
O3 0.0000 0.3608 0.0591
O4 0.3333 0.6667 0.2487
```

---

Starting from the PBE+U geometry in the Materials Project, the X-ray diffraction stick pattern of Na2Fe2NiP3O12 was computed for Cu Kα (λ = 1.5418 Å).
Lines closer than 0.1° are merged.

Main lines, low angle first (2θ = 10–90°):
(0 2 0), 2θ 14.04, intensity 87
(3 1 0), 2θ 25.65, intensity 24
(1 1 -2), 2θ 28.36, intensity 42
(3 1 -2), 2θ 30.92, intensity 33
(2 4 0), 2θ 32.87, intensity 100
(4 0 0), 2θ 33.06, intensity 52
(4 0 -2), 2θ 34.52, intensity 21
(1 3 -2), 2θ 34.87, intensity 74
(3 1 -3), 2θ 42.51, intensity 31
(2 0 -4), 2θ 56.63, intensity 31

Atomic structure:
```
data_Na2Fe2NiP3O12
_symmetry_space_group_name_H-M 'C 1 2/c 1'
_symmetry_Int_Tables_number 15
_symmetry_space_group_name_Hall '-C 2yc'
_cell_length_a 11.8407
_cell_length_b 12.6114
_cell_length_c 6.5607
_cell_angle_alpha 90.00
_cell_angle_beta 113.75
_cell_angle_gamma 90.00
loop_
_atom_site_label
_atom_site_fract_x
_atom_site_fract_y
_atom_site_fract_z
Na1 0.0000 0.0000 0.0000
Na2 0.0000 0.4853 0.2500
Fe1 0.2183 0.3377 0.6255
Ni1 0.0000 0.2352 0.7500
P1 0.0000 0.2098 0.2500
P2 0.2350 0.3896 0.1188
O1 0.0393 0.2815 0.4624
O2 0.1032 0.1341 0.2556
O3 0.1266 0.1058 0.8336
O4 0.1584 0.3354 0.8880
O5 0.1749 0.5001 0.1092
O6 0.2200 0.3235 0.3076
```